No. 1
Diffraction record for Cr7Os. The X-ray diffraction stick pattern is theoretical, not measured: it uses the GGA-PBE geometry in Alexandria and copper Kα.

Structural model:
Lattice parameters (Å, degrees): 5.1775 5.1775 5.1775 60.00 60.00 60.00
Fractional coordinates of all 8 atoms:
Cr  0.0000  0.0000  0.0000
Cr  0.0000  0.0000  0.5000
Cr  0.0000  0.5000  0.0000
Cr  0.0000  0.5000  0.5000
Cr  0.5000  0.0000  0.0000
Cr  0.5000  0.0000  0.5000
Cr  0.5000  0.5000  0.0000
Os  0.5000  0.5000  0.5000

Principal peaks in the range 2θ from 5° to 70°, sorted by position:
- 2θ 21.0, intensity 34
- 2θ 24.3, intensity 18
- 2θ 34.7, intensity 15
- 2θ 40.9, intensity 20
- 2θ 42.8, intensity 100
- 2θ 49.8, intensity 47
- 2θ 54.6, intensity 9
- 2θ 56.2, intensity 8
- 2θ 62.1, intensity 6
- 2θ 66.3, intensity 7

***

No. 2
Diffraction record for Pm2RuF. The X-ray diffraction stick pattern is theoretical, not measured: it uses the GGA-PBE geometry in Alexandria and copper Kα.

Structural model:
Lattice parameters (Å, degrees): 3.3330 3.3330 7.4522 90.00 90.00 90.00
Fractional coordinates of all 4 atoms:
Pm  0.0000  0.0000  0.2364
Pm  0.0000  0.0000  0.7636
Ru  0.5000  0.5000  0.0000
F  0.5000  0.5000  0.5000

Principal peaks in the range 2θ from 5° to 70°, sorted by position:
- 2θ 11.9, intensity 25
- 2θ 23.9, intensity 12
- 2θ 26.7, intensity 19
- 2θ 36.2, intensity 100
- 2θ 38.2, intensity 44
- 2θ 45.5, intensity 16
- 2θ 48.9, intensity 10
- 2θ 55.1, intensity 15
- 2θ 63.7, intensity 18
- 2θ 67.7, intensity 31